1.
Theoretical X-ray powder pattern of Ba2Mn3AlO8 for a wavelength of 1.5418 Å, from a cell relaxed with GGA+U.
No peak broadening, texture or thermal motion is included.

Most intense lines, 15 to 90 degrees two-theta, sorted by position:
3.686 Å, 2θ = 24.14°, I = 11.8; 2.763 Å, 2θ = 32.40°, I = 100.0; 2.744 Å, 2θ = 32.64°, I = 42.8; 2.251 Å, 2θ = 40.06°, I = 15.0; 1.940 Å, 2θ = 46.83°, I = 33.2; 1.599 Å, 2θ = 57.65°, I = 22.5; 1.588 Å, 2θ = 58.10°, I = 36.5; 1.381 Å, 2θ = 67.84°, I = 12.3

Structure:
```
14
Lattice="3.880 0.000 0.000 0.000 3.880 0.000 0.000 0.000 11.806" Properties=species:S:1:pos:R:3 pbc="T T T"
Ba 0.000 0.000 1.980
Ba 0.000 0.000 9.826
Mn 1.940 1.940 0.000
Mn 1.940 1.940 4.168
Mn 1.940 1.940 7.638
Al 0.000 0.000 5.903
O 0.000 1.940 0.000
O 0.000 1.940 4.671
O 0.000 1.940 7.135
O 1.940 0.000 0.000
O 1.940 0.000 4.671
O 1.940 0.000 7.135
O 1.940 1.940 2.127
O 1.940 1.940 9.679
```

***

2.
Theoretical X-ray powder pattern of KCr3BiO12 for a wavelength of 1.5418 Å, from a cell relaxed with GGA+U.
No peak broadening, texture or thermal motion is included.

Most intense lines, 15 to 90 degrees two-theta, sorted by position:
4.557 Å, 2θ = 19.48°, I = 63.0; 4.090 Å, 2θ = 21.73°, I = 94.1; 3.685 Å, 2θ = 24.15°, I = 50.4; 3.568 Å, 2θ = 24.96°, I = 55.9; 3.297 Å, 2θ = 27.04°, I = 69.8; 3.220 Å, 2θ = 27.70°, I = 76.6; 3.142 Å, 2θ = 28.41°, I = 100.0; 2.962 Å, 2θ = 30.17°, I = 56.2

Structure:
```
34
Lattice="6.967 0.000 0.000 -0.768 7.264 0.000 -0.375 -1.550 10.953" Properties=species:S:1:pos:R:3 pbc="T T T"
K 0.928 -0.216 1.944
K 4.897 5.929 9.009
Cr 0.721 0.920 5.895
Cr 2.032 3.444 2.690
Cr 2.280 -0.055 9.709
Cr 3.544 5.769 1.244
Cr 3.793 2.269 8.264
Cr 5.103 4.793 5.058
Bi 1.651 4.773 6.356
Bi 4.173 0.940 4.597
O -0.646 4.831 6.257
O 0.074 0.453 7.294
O 0.797 3.450 1.667
O 0.459 4.297 8.418
O 0.871 -0.341 10.460
O 1.366 2.454 6.048
O 1.985 -0.152 5.483
O 1.653 4.437 3.962
O 2.343 1.888 3.188
O 2.529 -1.129 8.419
O 2.305 5.907 0.223
O 2.343 1.606 9.078
O 3.481 4.108 1.875
O 3.520 -0.194 10.731
O 3.295 6.843 2.535
O 3.481 3.825 7.766
O 4.171 1.277 6.992
O 3.839 5.865 5.471
O 4.458 3.260 4.906
O 4.953 6.055 0.493
O 5.365 1.417 2.535
O 5.027 2.263 9.287
O 5.750 5.260 3.659
O 6.470 0.882 4.697
```

***

3.
Theoretical X-ray powder pattern of Li4Ti3Mn3Ni2O16 for a wavelength of 1.5418 Å, from a cell relaxed with GGA+U.
No peak broadening, texture or thermal motion is included.

Most intense lines, 15 to 90 degrees two-theta, sorted by position:
4.823 Å, 2θ = 18.40°, I = 53.4; 4.490 Å, 2θ = 19.77°, I = 100.0; 3.495 Å, 2θ = 25.48°, I = 33.9; 2.715 Å, 2θ = 32.99°, I = 37.3; 2.503 Å, 2θ = 35.87°, I = 60.1; 2.454 Å, 2θ = 36.62°, I = 34.5; 1.992 Å, 2θ = 45.53°, I = 44.8; 1.536 Å, 2θ = 60.26°, I = 36.4

Structure:
```
28
Lattice="5.065 -2.933 0.000 5.065 2.933 0.000 -0.024 0.000 9.645" Properties=species:S:1:pos:R:3 pbc="T T T"
Li 0.000 0.000 0.000
Li -0.010 0.000 4.805
Li 3.430 0.000 5.884
Li 6.817 0.000 1.085
Ti 1.753 0.000 2.737
Ti 5.946 1.448 7.551
Ti 5.946 -1.448 7.551
Mn 4.244 1.449 2.726
Mn 4.244 -1.449 2.726
Mn 8.437 0.000 7.548
Ni 3.418 0.000 0.098
Ni 6.779 0.000 4.895
O 10.125 0.000 1.788
O 10.112 0.000 6.592
O 2.674 1.316 1.606
O 4.264 1.536 8.585
O 1.638 0.000 8.603
O 5.896 1.530 3.768
O 3.446 0.000 3.778
O 4.920 0.000 1.618
O 2.674 -1.316 1.606
O 5.277 0.000 6.429
O 7.548 1.302 6.414
O 6.794 0.000 8.621
O 4.264 -1.536 8.585
O 5.896 -1.530 3.768
O 8.545 0.000 3.748
O 7.548 -1.302 6.414
```

***

4.
Theoretical X-ray powder pattern of Ba2CrSnO6 for a wavelength of 1.5418 Å, from a cell relaxed with GGA+U.
No peak broadening, texture or thermal motion is included.

Most intense lines, 15 to 90 degrees two-theta, sorted by position:
2.899 Å, 2θ = 30.84°, I = 100.0; 2.367 Å, 2θ = 38.01°, I = 7.9; 2.050 Å, 2θ = 44.18°, I = 31.7; 1.674 Å, 2θ = 54.85°, I = 39.8; 1.450 Å, 2θ = 64.26°, I = 19.5; 1.297 Å, 2θ = 72.97°, I = 17.6; 1.184 Å, 2θ = 81.29°, I = 6.6; 1.096 Å, 2θ = 89.43°, I = 22.0

Structure:
```
10
Lattice="0.000 4.100 4.100 4.100 0.000 4.100 4.100 4.100 0.000" Properties=species:S:1:pos:R:3 pbc="T T T"
Ba 2.050 2.050 2.050
Ba 6.150 6.150 6.150
Cr 0.000 0.000 0.000
Sn 4.100 4.100 4.100
O 4.100 4.100 2.006
O 4.100 2.006 4.100
O 6.193 4.100 4.100
O 2.006 4.100 4.100
O 4.100 6.193 4.100
O 4.100 4.100 6.193
```

***

5.
Theoretical X-ray powder pattern of Li2NiBO4 for a wavelength of 1.5418 Å, from a cell relaxed with GGA+U.
No peak broadening, texture or thermal motion is included.

Most intense lines, 15 to 90 degrees two-theta, sorted by position:
3.864 Å, 2θ = 23.02°, I = 100.0; 3.451 Å, 2θ = 25.81°, I = 18.6; 3.084 Å, 2θ = 28.95°, I = 23.6; 2.616 Å, 2θ = 34.28°, I = 29.6; 2.481 Å, 2θ = 36.21°, I = 39.3; 2.063 Å, 2θ = 43.88°, I = 14.2; 1.816 Å, 2θ = 50.23°, I = 19.0; 1.457 Å, 2θ = 63.89°, I = 16.3

Structure:
```
16
Lattice="3.451 -3.569 0.000 3.451 3.569 0.000 0.000 0.000 6.158" Properties=species:S:1:pos:R:3 pbc="T T T"
Li 3.451 2.196 4.618
Li 2.213 0.000 0.000
Li 4.690 0.000 3.079
Li 3.451 -2.196 1.539
Ni 3.451 2.222 1.539
Ni 3.451 -2.222 4.618
B 2.175 0.000 3.079
B 4.728 0.000 0.000
O 1.361 0.062 4.315
O 1.361 -0.062 1.842
O 3.089 1.199 3.017
O 3.814 1.199 0.061
O 3.089 -1.199 3.140
O 3.814 -1.199 6.096
O 5.542 0.062 4.921
O 5.542 -0.062 1.236
```

***

6.
Theoretical X-ray powder pattern of LiMn5O5F for a wavelength of 1.5418 Å, from a cell relaxed with GGA+U.
No peak broadening, texture or thermal motion is included.

Most intense lines, 15 to 90 degrees two-theta, sorted by position:
3.021 Å, 2θ = 29.57°, I = 89.9; 2.662 Å, 2θ = 33.67°, I = 57.2; 2.627 Å, 2θ = 34.13°, I = 100.0; 1.997 Å, 2θ = 45.42°, I = 37.4; 1.744 Å, 2θ = 52.47°, I = 56.8; 1.530 Å, 2θ = 60.51°, I = 40.0; 1.459 Å, 2θ = 63.80°, I = 43.2; 1.453 Å, 2θ = 64.09°, I = 15.7

Structure:
```
12
Lattice="3.488 0.000 0.000 -1.744 3.021 0.000 0.000 0.000 15.970" Properties=species:S:1:pos:R:3 pbc="T T T"
Li 0.000 0.000 0.000
Mn 0.000 0.000 5.106
Mn 0.000 0.000 10.480
Mn 1.744 1.007 2.425
Mn 1.744 1.007 7.795
Mn 1.744 1.007 13.150
O 0.000 0.000 1.887
O 0.000 0.000 7.262
O 0.000 0.000 12.643
O 1.744 1.007 4.580
O 1.744 1.007 9.953
F 1.744 1.007 15.274
```

***

7.
Theoretical X-ray powder pattern of LaV2O2 for a wavelength of 1.5418 Å, from a cell relaxed with GGA+U.
No peak broadening, texture or thermal motion is included.

Most intense lines, 15 to 90 degrees two-theta, sorted by position:
3.647 Å, 2θ = 24.41°, I = 76.1; 3.525 Å, 2θ = 25.26°, I = 63.6; 3.037 Å, 2θ = 29.41°, I = 100.0; 2.899 Å, 2θ = 30.84°, I = 26.9; 2.725 Å, 2θ = 32.87°, I = 58.5; 2.097 Å, 2θ = 43.13°, I = 35.2; 1.823 Å, 2θ = 50.02°, I = 35.1; 1.763 Å, 2θ = 51.87°, I = 30.3

Structure:
```
20
Lattice="-4.295 4.295 5.799 4.295 -4.295 5.799 4.295 4.295 -5.799" Properties=species:S:1:pos:R:3 pbc="T T T"
La 0.000 0.000 0.000
La 2.148 2.148 -2.899
La 2.148 -2.148 2.899
La 0.000 4.295 0.000
V 4.295 0.654 2.220
V 2.801 2.148 0.679
V 5.789 2.148 0.679
V 0.000 0.654 3.578
V 4.295 3.641 2.220
V -1.494 2.148 5.120
V 1.494 2.148 5.120
V 0.000 3.641 3.578
O 4.295 3.525 -3.380
O 4.295 -0.770 3.380
O 1.378 2.148 -0.480
O 2.917 -2.148 5.319
O 1.378 6.443 0.480
O 2.917 2.148 6.279
O 0.000 5.065 2.419
O 0.000 0.770 9.179
```

***

8.
Theoretical X-ray powder pattern of Mn4Be3Si3SO12 for a wavelength of 1.5418 Å, from a cell relaxed with GGA+U.
No peak broadening, texture or thermal motion is included.

Most intense lines, 15 to 90 degrees two-theta, sorted by position:
3.424 Å, 2θ = 26.02°, I = 100.0; 2.652 Å, 2θ = 33.80°, I = 14.1; 2.241 Å, 2θ = 40.23°, I = 19.2; 1.977 Å, 2θ = 45.91°, I = 52.1; 1.712 Å, 2θ = 53.53°, I = 9.2; 1.398 Å, 2θ = 66.94°, I = 11.3; 1.294 Å, 2θ = 73.13°, I = 9.7; 1.141 Å, 2θ = 84.98°, I = 10.5

Structure:
```
46
Lattice="8.387 0.000 0.000 0.000 8.387 0.000 0.000 0.000 8.387" Properties=species:S:1:pos:R:3 pbc="T T T"
Mn 1.436 1.436 1.436
Mn 1.436 6.950 6.950
Mn 2.757 2.757 5.630
Mn 2.757 5.630 2.757
Mn 5.630 2.757 2.757
Mn 5.630 5.630 5.630
Mn 6.950 1.436 6.950
Mn 6.950 6.950 1.436
Be 0.000 2.097 4.193
Be 0.000 6.290 4.193
Be 2.097 4.193 0.000
Be 4.193 0.000 2.097
Be 4.193 0.000 6.290
Be 6.290 4.193 0.000
Si 0.000 4.193 2.097
Si 0.000 4.193 6.290
Si 2.097 0.000 4.193
Si 4.193 2.097 0.000
Si 4.193 6.290 0.000
Si 6.290 0.000 4.193
S 0.000 0.000 0.000
S 4.193 4.193 4.193
O 0.686 3.005 5.381
O 0.686 5.381 3.006
O 1.188 1.188 3.508
O 1.188 3.508 1.188
O 1.188 4.879 7.199
O 1.188 7.199 4.879
O 3.006 0.686 5.381
O 3.005 3.006 7.701
O 3.005 5.381 0.686
O 3.006 7.701 3.005
O 3.508 1.188 1.188
O 3.508 7.199 7.199
O 4.879 1.188 7.199
O 4.879 7.199 1.188
O 5.381 0.686 3.005
O 5.381 3.006 0.686
O 5.381 5.381 7.701
O 5.381 7.701 5.381
O 7.199 1.188 4.879
O 7.199 3.508 7.199
O 7.199 4.879 1.188
O 7.199 7.199 3.508
O 7.701 3.005 3.006
O 7.701 5.381 5.381
```

***

9.
Theoretical X-ray powder pattern of Li5Fe8B8O24 for a wavelength of 1.5418 Å, from a cell relaxed with GGA+U.
No peak broadening, texture or thermal motion is included.

Most intense lines, 15 to 90 degrees two-theta, sorted by position:
4.533 Å, 2θ = 19.58°, I = 81.7; 4.132 Å, 2θ = 21.50°, I = 63.0; 4.105 Å, 2θ = 21.65°, I = 43.2; 3.403 Å, 2θ = 26.18°, I = 34.9; 2.628 Å, 2θ = 34.12°, I = 66.4; 2.610 Å, 2θ = 34.36°, I = 32.6; 2.531 Å, 2θ = 35.47°, I = 100.0; 2.215 Å, 2θ = 40.74°, I = 50.5

Structure:
```
45
Lattice="5.220 0.000 0.000 -0.021 9.123 0.000 -0.095 -0.187 10.124" Properties=species:S:1:pos:R:3 pbc="T T T"
Li 0.000 0.000 0.000
Li 0.086 8.948 5.165
Li 1.715 3.009 7.574
Li 2.705 4.439 5.015
Li 4.417 7.565 2.442
Fe 0.111 2.878 4.741
Fe 1.770 0.117 2.338
Fe 1.768 6.110 7.350
Fe 2.572 1.396 9.902
Fe 2.705 7.521 4.789
Fe 4.417 4.495 2.204
Fe 4.390 1.359 7.293
Fe 5.104 5.880 9.821
B -0.003 2.831 9.859
B 0.061 5.998 4.721
B 1.776 -0.091 7.311
B 1.830 6.085 2.247
B 2.567 7.523 9.830
B 2.674 1.434 4.812
B 4.371 1.527 2.172
B 4.390 4.463 7.270
O -0.071 5.529 7.724
O 0.448 6.037 1.939
O 0.431 -0.095 7.117
O 1.364 5.919 5.250
O 1.354 2.825 9.628
O 1.841 6.452 9.321
O 1.930 8.879 0.044
O 1.932 0.298 4.441
O 2.066 2.659 4.908
O 2.402 7.304 2.617
O 2.440 1.047 7.811
O 2.483 7.886 6.950
O 2.590 4.948 2.234
O 3.049 1.594 1.726
O 3.003 4.590 7.133
O 3.918 7.471 10.019
O 4.028 1.291 5.104
O 4.494 1.661 9.539
O 4.610 4.827 4.333
O 4.654 4.135 0.211
O 4.675 7.226 4.553
O 4.981 2.680 2.641
O 5.031 0.318 2.126
O 5.027 3.277 6.947
```